(1)
Ho4Tl3: simulated XRD peak list (Cu Kα, 1.54184 Å), based on a structure optimized by DFT (GGA-PBE).

Structure:
a b c (Å): 14.4054 4.8654 6.5748
angles (deg): 90.00 110.27 90.00
Space group C2/m (No. 12)
Unique sites:
Ho (0.0648, 0.0000, 0.3055) [4 per cell]
Ho (0.1350, 0.5000, 0.7295) [4 per cell]
Tl (0.0000, 0.5000, 0.0000) [2 per cell]
Tl (0.2287, 0.5000, 0.3050) [4 per cell]

Top 10 peaks for 2θ from 10° to 90°, sorted by position:
d/Å, 2θ (°), I_rel, h k l
5.629, 15.7, 163, 2 0 -1
3.281, 27.2, 327, 3 1 -1
3.084, 29.0, 262, 0 0 2
2.647, 33.9, 1000, 3 1 1
2.610, 34.4, 970, 3 1 -2
2.432, 37.0, 526, 0 2 0
2.400, 37.5, 375, 6 0 -1
2.056, 44.0, 168, 0 0 3
1.709, 53.6, 270, 6 2 -1
1.436, 65.0, 258, 3 3 -2

(2)
BaTaCuO5: simulated XRD peak list (Cu Kα, 1.54184 Å), based on a structure optimized by DFT (GGA-PBE).

Structure:
a b c (Å): 3.8063 3.8063 9.4690
angles (deg): 90.00 90.00 90.00
Space group P4mm (No. 99)
Unique sites:
Ba (0.0000, 0.0000, 0.0000) [1 per cell]
Ta (0.5000, 0.5000, 0.6923) [1 per cell]
Cu (0.5000, 0.5000, 0.2371) [1 per cell]
O (0.0000, 0.5000, 0.1985) [2 per cell]
O (0.0000, 0.5000, 0.6494) [2 per cell]
O (0.5000, 0.5000, 0.8892) [1 per cell]

Top 10 peaks for 2θ from 10° to 90°, sorted by position:
d/Å, 2θ (°), I_rel, h k l
4.735, 18.7, 261, 0 0 2
3.806, 23.4, 139, 1 0 0
3.532, 25.2, 546, 1 0 1
3.156, 28.3, 176, 0 0 3
2.966, 30.1, 1000, 1 0 2
2.691, 33.3, 340, 1 1 0
2.048, 44.2, 198, 1 1 3
1.903, 47.8, 234, 2 0 0
1.696, 54.1, 154, 1 0 5
1.602, 57.5, 320, 2 1 2

(3)
V3Se4Cl2: simulated XRD peak list (Cu Kα, 1.54184 Å), based on a structure optimized by DFT (GGA-PBE).

Structure:
a b c (Å): 3.3069 3.3069 21.0638
angles (deg): 90.00 90.00 120.00
Space group P-6m2 (No. 187)
Unique sites:
V (0.0000, 0.0000, 0.0000) [1 per cell]
V (0.3333, 0.6667, 0.3241) [2 per cell]
Se (0.0000, 0.0000, 0.2477) [2 per cell]
Se (0.0000, 0.0000, 0.4005) [2 per cell]
Cl (0.3333, 0.6667, 0.0729) [2 per cell]

Top 10 peaks for 2θ from 10° to 90°, sorted by position:
d/Å, 2θ (°), I_rel, h k l
7.021, 12.6, 1000, 0 0 3
3.511, 25.4, 192, 0 0 6
2.864, 31.2, 769, 1 0 0
2.516, 35.7, 133, 1 0 4
2.368, 38.0, 781, 1 0 5
2.219, 40.7, 471, 1 0 6
1.938, 46.9, 564, 1 0 8
1.653, 55.6, 395, 1 1 0
1.496, 62.0, 194, 1 0 12
1.204, 79.7, 137, 1 1 12

(4)
Ac2TbPrAs4: simulated XRD peak list (Cu Kα, 1.54184 Å), based on a structure optimized by DFT (GGA-PBE).

Structure:
a b c (Å): 7.5959 4.3896 7.6082
angles (deg): 90.00 109.41 90.00
Space group P2/m (No. 10)
Unique sites:
Ac (0.0000, 0.0000, 0.0000) [1 per cell]
Ac (0.5000, 0.5000, 0.0000) [1 per cell]
Tb (0.0000, 0.5000, 0.5000) [1 per cell]
Pr (0.5000, 0.0000, 0.5000) [1 per cell]
As (0.2396, 0.0000, 0.7318) [2 per cell]
As (0.2505, 0.5000, 0.2654) [2 per cell]

Top 10 peaks for 2θ from 10° to 90°, sorted by position:
d/Å, 2θ (°), I_rel, h k l
3.584, 24.8, 320, 0 0 2
3.104, 28.8, 1000, 1 1 1
2.195, 41.1, 763, 0 2 0
1.872, 48.6, 172, 1 1 3
1.792, 51.0, 272, 2 2 -2
1.552, 59.6, 127, 2 2 2
1.388, 67.5, 290, 1 3 1
1.387, 67.5, 59, 5 1 -3
1.268, 74.9, 104, 1 3 -3
1.267, 75.0, 153, 3 3 -1

What is the formula in the second record? BaTaCuO5